RbSr2MgNb3O10: calculated powder X-ray diffraction pattern (a wavelength of 1.5418 Å), based on a structure optimized by DFT (GGA-PBE).
No peak broadening, texture or thermal motion is included.

Crystal structure
```
data_RbSr2MgNb3O10
_symmetry_space_group_name_H-M 'P 4/m m m'
_symmetry_Int_Tables_number 123
_symmetry_space_group_name_Hall '-P 4 2'
_cell_length_a 4.073
_cell_length_b 4.073
_cell_length_c 16.621
_cell_angle_alpha 90.00
_cell_angle_beta 90.00
_cell_angle_gamma 90.00
loop_
_atom_site_label
_atom_site_type_symbol
_atom_site_fract_x
_atom_site_fract_y
_atom_site_fract_z
Rb1 Rb 0.000 0.000 0.000
Sr1 Sr 0.000 0.000 0.312
Mg1 Mg 0.000 0.000 0.500
Nb1 Nb 0.500 0.500 0.197
Nb2 Nb 0.500 0.500 0.500
O1 O 0.000 0.500 0.226
O2 O 0.000 0.500 0.500
O3 O 0.500 0.500 0.090
O4 O 0.500 0.500 0.379
```

Largest 10 diffraction maxima, in order of rising 2θ, 2θ = 10–90°:
two_theta  I_rel  index
21.38  18  0 0 4
27.17  100  1 0 3
31.05  49  1 1 0
44.15  20  1 0 7
44.49  32  2 0 0
45.43  17  1 1 6
52.91  31  2 1 3
64.47  12  2 1 7
64.75  20  2 2 0
73.54  17  2 0 10